# Y3ErTm
Simulated XRD peak list, copper Kα. Input: DFT lattice parameters and positions (GGA-PBE).
Neutral-atom scattering factors, no anomalous dispersion.

Crystal structure
Cell: 5.4192 16.6292 7.0266 Å, 90.00 90.00 90.00°
Space group Cmc2_1 (No. 36)
One atom of each set of equivalent atoms:
Y 0.0000 0.0007 0.0000 [4 per cell]
Y 0.0000 0.2001 0.4991 [4 per cell]
Y 0.0000 0.3908 0.2502 [4 per cell]
Er 0.0000 0.1995 0.0000 [4 per cell]
Tm 0.0000 0.3890 0.7490 [4 per cell]

Top 10 peaks for 5° ≤ 2θ ≤ 70°, low angle first:
h k l	two_theta	I (rel.)
1 1 2	30.80	83
1 5 0	31.56	100
2 0 0	33.06	46
0 4 2	33.39	41
1 3 2	34.46	27
0 6 2	41.50	16
2 4 2	47.70	30
3 5 0	58.11	17
1 9 2	59.00	17
1 5 4	62.17	37



# Y7Er2Tm4
Simulated XRD peak list, copper Kα. Input: DFT lattice parameters and positions (GGA-PBE).
Neutral-atom scattering factors, no anomalous dispersion.

Crystal structure
Cell: 6.0568 6.0568 13.1283 Å, 90.00 90.00 120.00°
Space group P-31m (No. 162)
One atom of each set of equivalent atoms:
Y 0.0000 0.0000 0.0000 [1 per cell]
Y 0.0000 0.3582 0.2179 [6 per cell]
Er 0.3333 0.6667 0.0000 [2 per cell]
Tm 0.0000 0.0000 0.3943 [2 per cell]
Tm 0.3333 0.6667 0.5000 [2 per cell]

Top 10 peaks for 5° ≤ 2θ ≤ 70°, low angle first:
h k l	two_theta	I (rel.)
0 0 4	27.17	16
1 1 0	29.50	36
1 1 1	30.29	26
1 0 4	32.17	28
2 -1 2	32.56	100
1 1 3	36.07	18
2 -1 6	51.53	13
3 0 0	52.33	28
2 2 2	63.00	14
1 1 8	64.60	13



# Y6Er2Tm
Simulated XRD peak list, copper Kα. Input: DFT lattice parameters and positions (GGA-PBE).
Neutral-atom scattering factors, no anomalous dispersion.

Crystal structure
Cell: 10.6432 10.6432 5.0209 Å, 90.00 90.00 90.00°
Space group P4_2/mnm (No. 136)
One atom of each set of equivalent atoms:
Y 0.0002 0.3319 0.0000 [8 per cell]
Y 0.1658 0.1658 0.5000 [4 per cell]
Er 0.1661 0.8339 0.5000 [4 per cell]
Tm 0.0000 0.0000 0.0000 [2 per cell]

Top 10 peaks for 5° ≤ 2θ ≤ 70°, low angle first:
h k l	two_theta	I (rel.)
1 1 0	11.76	6
2 1 0	18.64	4
1 1 1	21.27	3
2 1 1	25.79	3
3 0 1	30.86	100
3 3 0	35.79	50
4 1 1	39.24	2
6 0 0	51.51	35
6 3 1	61.26	41
6 0 2	64.30	12



# Y5ErTm
Simulated XRD peak list, copper Kα. Input: DFT lattice parameters and positions (GGA-PBE).
Neutral-atom scattering factors, no anomalous dispersion.

Crystal structure
Cell: 6.9214 10.2253 6.8653 Å, 90.00 107.14 90.00°
Space group C2/m (No. 12)
One atom of each set of equivalent atoms:
Y 0.0000 0.0000 0.0000 [2 per cell]
Y 0.1889 0.2835 0.7322 [8 per cell]
Er 0.0000 0.0000 0.5000 [2 per cell]
Tm 0.0000 0.5000 0.0000 [2 per cell]

Top 10 peaks for 5° ≤ 2θ ≤ 70°, low angle first:
h k l	two_theta	I (rel.)
1 1 -1	18.20	16
1 1 1	23.41	30
1 3 -1	30.79	32
2 2 -1	31.73	13
2 0 -2	32.25	100
0 2 2	32.43	78
0 4 0	35.10	27
2 0 2	44.25	11
2 4 -2	48.42	19
2 2 -4	57.75	22



# Y2ErTm7
Simulated XRD peak list, copper Kα. Input: DFT lattice parameters and positions (GGA-PBE).
Neutral-atom scattering factors, no anomalous dispersion.

Crystal structure
Cell: 6.0501 29.4152 3.4644 Å, 90.00 90.40 90.00°
Space group C2/m (No. 12)
One atom of each set of equivalent atoms:
Y 0.0000 0.2080 0.0000 [4 per cell]
Er 0.0000 0.0000 0.5000 [2 per cell]
Tm 0.0000 0.3098 0.5000 [4 per cell]
Tm 0.0000 0.5000 0.0000 [2 per cell]
Tm 0.2457 0.0992 0.7694 [8 per cell]

Top 10 peaks for 5° ≤ 2θ ≤ 70°, low angle first:
h k l	two_theta	I (rel.)
0 2 0	6.01	34
1 1 -1	29.78	50
0 10 0	30.39	100
1 3 -1	31.04	34
1 3 1	31.20	84
2 4 0	31.99	81
1 5 -1	33.39	52
2 6 0	34.85	82
1 7 1	36.83	47
1 9 -1	40.71	29



# Y3Er12Tm
Simulated XRD peak list, copper Kα. Input: DFT lattice parameters and positions (GGA-PBE).
Neutral-atom scattering factors, no anomalous dispersion.

Crystal structure
Cell: 4.9757 4.9757 19.8982 Å, 90.00 90.00 90.00°
Space group P4/mmm (No. 123)
One atom of each set of equivalent atoms:
Y 0.0000 0.0000 0.0000 [1 per cell]
Y 0.0000 0.0000 0.2507 [2 per cell]
Er 0.0000 0.5000 0.1255 [4 per cell]
Er 0.0000 0.5000 0.3763 [4 per cell]
Er 0.5000 0.5000 0.0000 [1 per cell]
Er 0.5000 0.5000 0.2509 [2 per cell]
Er 0.5000 0.5000 0.5000 [1 per cell]
Tm 0.0000 0.0000 0.5000 [1 per cell]

Top 10 peaks for 5° ≤ 2θ ≤ 70°, low angle first:
h k l	two_theta	I (rel.)
1 0 0	17.83	2
1 1 0	25.32	2
1 1 4	31.14	100
2 0 0	36.11	51
2 1 0	40.54	1
2 1 4	44.61	1
2 2 0	51.99	36
3 0 0	55.40	1
3 1 4	61.85	42
2 2 8	64.93	12



# Y8Er3Tm2
Simulated XRD peak list, copper Kα. Input: DFT lattice parameters and positions (GGA-PBE).
Neutral-atom scattering factors, no anomalous dispersion.

Crystal structure
Cell: 20.0509 7.6143 5.6216 Å, 90.00 90.04 90.00°
Space group C2/m (No. 12)
One atom of each set of equivalent atoms:
Y 0.1077 0.2112 0.0004 [8 per cell]
Y 0.1333 0.5000 0.4998 [4 per cell]
Y 0.1702 0.0000 0.5010 [4 per cell]
Er 0.0000 0.2167 0.5000 [4 per cell]
Er 0.0000 0.5000 0.0000 [2 per cell]
Tm 0.2413 0.5000 0.9989 [4 per cell]

Top 10 peaks for 5° ≤ 2θ ≤ 70°, low angle first:
h k l	two_theta	I (rel.)
2 0 1	18.09	11
2 2 0	25.02	26
5 1 1	29.77	31
6 0 -1	31.13	30
0 0 2	31.84	39
4 2 -1	33.58	100
8 0 0	35.83	14
2 2 -2	40.91	14
8 0 -2	48.67	11
4 2 -3	57.85	21



# Y7Er2Tm
Simulated XRD peak list, copper Kα. Input: DFT lattice parameters and positions (GGA-PBE).
Neutral-atom scattering factors, no anomalous dispersion.

Crystal structure
Cell: 6.1503 29.6003 3.5029 Å, 90.00 90.36 90.00°
Space group C2/m (No. 12)
One atom of each set of equivalent atoms:
Y 0.0000 0.0000 0.0000 [2 per cell]
Y 0.0000 0.1942 0.5000 [4 per cell]
Y 0.2458 0.3998 0.7646 [8 per cell]
Er 0.0000 0.2943 0.0000 [4 per cell]
Tm 0.0000 0.5000 0.5000 [2 per cell]

Top 10 peaks for 5° ≤ 2θ ≤ 70°, low angle first:
h k l	two_theta	I (rel.)
1 1 -1	29.42	26
0 10 0	30.19	94
1 3 -1	30.66	45
1 3 1	30.82	100
2 4 0	31.50	74
1 5 -1	33.02	45
2 6 0	34.36	50
1 7 -1	36.30	31
1 7 1	36.44	59
2 14 0	52.54	23